Entry 1:
Simulated powder diffraction line list
Compound: TbNCl3
Radiation: Cu Kα
Structure: a crystal structure in Alexandria, relaxed with PBE
Lines closer than 0.1° are merged.

Peak list (10 most intense, 15° ≤ 2θ ≤ 90°, sorted by position)
h k l, 2θ/deg, I (rel.)
0 1 2, 16.45, 62
1 1 0, 24.58, 50
1 1 3, 27.72, 94
1 1 6, 35.66, 100
0 2 7, 41.62, 23
3 0 3, 45.25, 25
1 1 9, 46.23, 29
2 2 0, 50.38, 28
3 0 6, 50.84, 25
0 0 12, 52.17, 27

Atomic structure:
```
data_TbNCl3
_space_group_name_H-M_alt 'R -3 m'
_space_group_IT_number 166
_space_group_name_Hall '-R 3 2"'
_cell_length_a 7.2448
_cell_length_b 7.2448
_cell_length_c 21.0336
_cell_angle_alpha 90.00
_cell_angle_beta 90.00
_cell_angle_gamma 120.00
loop_
_atom_site_label
_atom_site_type_symbol
_atom_site_fract_x
_atom_site_fract_y
_atom_site_fract_z
_atom_site_occupancy
Tb1 Tb 0.0000 0.0000 0.1665 1
N1 N 0.0000 0.0000 0.4083 1
Cl1 Cl 0.0003 0.5002 0.4207 1
```

=====

Entry 2:
Simulated powder diffraction line list
Compound: Tb7NCl12
Radiation: Cu Kα
Structure: a crystal structure in Alexandria, relaxed with PBE
Lines closer than 0.1° are merged.

Peak list (10 most intense, 15° ≤ 2θ ≤ 90°, sorted by position)
h k l, 2θ/deg, I (rel.)
3 -1 1, 21.84, 16
4 -3 1, 28.54, 34
2 -1 3, 31.66, 23
3 1 2, 33.16, 100
5 -2 1, 34.03, 15
2 3 2, 38.05, 14
6 -4 1, 41.05, 14
2 5 0, 47.41, 32
4 -3 4, 47.78, 33
8 -6 2, 59.08, 14

Atomic structure:
```
data_Tb7NCl12
_space_group_name_H-M_alt 'R -3'
_space_group_IT_number 148
_space_group_name_Hall '-R 3'
_cell_length_a 13.8275
_cell_length_b 13.8275
_cell_length_c 9.2910
_cell_angle_alpha 90.00
_cell_angle_beta 90.00
_cell_angle_gamma 120.00
loop_
_atom_site_label
_atom_site_type_symbol
_atom_site_fract_x
_atom_site_fract_y
_atom_site_fract_z
_atom_site_occupancy
Tb1 Tb 0.0000 0.0000 0.0000 1
Tb2 Tb 0.0428 0.1603 0.3512 1
N1 N 0.0000 0.0000 0.5000 1
Cl1 Cl 0.0240 0.5850 0.1631 1
Cl2 Cl 0.0490 0.1816 0.8359 1
```

=====

Entry 3:
Simulated powder diffraction line list
Compound: TcN2Cl6
Radiation: Cu Kα
Structure: a crystal structure in Alexandria, relaxed with PBE
Lines closer than 0.1° are merged.

Peak list (10 most intense, 15° ≤ 2θ ≤ 90°, sorted by position)
h k l, 2θ/deg, I (rel.)
0 1 0, 15.21, 100
1 0 -1, 17.79, 38
1 -1 1, 18.29, 78
1 0 1, 21.48, 87
-1 1 1, 22.51, 22
0 1 -2, 24.53, 28
1 1 -2, 29.76, 24
2 -2 0, 31.89, 40
1 2 -2, 38.73, 21
0 2 -3, 39.58, 21

Atomic structure:
```
data_TcN2Cl6
_space_group_name_H-M_alt 'P 1'
_space_group_IT_number 1
_cell_length_a 6.706
_cell_length_b 6.959
_cell_length_c 7.410
_cell_angle_alpha 110.76
_cell_angle_beta 90.71
_cell_angle_gamma 114.32
loop_
_space_group_symop_operation_xyz
'x,y,z'
loop_
_atom_site_label
_atom_site_type_symbol
_atom_site_fract_x
_atom_site_fract_y
_atom_site_fract_z
_atom_site_occupancy
Tc1 Tc 0.000 0.000 0.000 1
N1 N 0.219 0.181 0.175 1
N2 N 0.502 0.973 0.374 1
Cl1 Cl 0.086 0.695 0.844 1
Cl2 Cl 0.098 0.103 0.738 1
Cl3 Cl 0.355 0.782 0.468 1
Cl4 Cl 0.684 0.224 0.549 1
Cl5 Cl 0.769 0.772 0.148 1
Cl6 Cl 0.778 0.186 0.043 1
```

=====

Entry 4:
Simulated powder diffraction line list
Compound: TiN2Cl6
Radiation: Cu Kα
Structure: a crystal structure in Alexandria, relaxed with PBE
Lines closer than 0.1° are merged.

Peak list (10 most intense, 15° ≤ 2θ ≤ 90°, sorted by position)
h k l, 2θ/deg, I (rel.)
1 1 1, 15.49, 72
2 0 0, 17.91, 71
2 2 2, 31.28, 95
4 0 0, 36.27, 100
4 2 0, 40.73, 27
5 1 1, 47.70, 18
4 4 0, 52.24, 57
6 2 2, 62.16, 25
4 4 4, 65.25, 17
8 4 0, 88.22, 21

Atomic structure:
```
data_TiN2Cl6
_space_group_name_H-M_alt 'F m -3 m'
_space_group_IT_number 225
_space_group_name_Hall '-F 4 2 3'
_cell_length_a 9.906
_cell_length_b 9.906
_cell_length_c 9.906
_cell_angle_alpha 90.00
_cell_angle_beta 90.00
_cell_angle_gamma 90.00
loop_
_atom_site_label
_atom_site_type_symbol
_atom_site_fract_x
_atom_site_fract_y
_atom_site_fract_z
_atom_site_occupancy
Ti1 Ti 0.000 0.000 0.000 1
N1 N 0.250 0.250 0.250 1
Cl1 Cl 0.000 0.000 0.235 1
```

=====

Entry 5:
Simulated powder diffraction line list
Compound: TlN3Cl12
Radiation: Cu Kα
Structure: a crystal structure in Alexandria, relaxed with PBE
Lines closer than 0.1° are merged.

Peak list (10 most intense, 15° ≤ 2θ ≤ 90°, sorted by position)
h k l, 2θ/deg, I (rel.)
0 1 8, 19.56, 73
2 0 2, 20.40, 33
1 1 6, 21.42, 100
0 2 4, 21.68, 41
1 0 10, 23.32, 67
0 0 12, 25.31, 32
2 2 0, 34.93, 37
0 2 16, 39.73, 31
2 2 12, 43.62, 31
3 2 10, 49.60, 29

Atomic structure:
```
data_TlN3Cl12
_space_group_name_H-M_alt 'R 3 c'
_space_group_IT_number 161
_space_group_name_Hall 'R 3 -2"c'
_cell_length_a 10.2735
_cell_length_b 10.2735
_cell_length_c 42.2191
_cell_angle_alpha 90.00
_cell_angle_beta 90.00
_cell_angle_gamma 120.00
loop_
_atom_site_label
_atom_site_type_symbol
_atom_site_fract_x
_atom_site_fract_y
_atom_site_fract_z
_atom_site_occupancy
Tl1 Tl 0.0000 0.0000 0.0000 1
N1 N 0.0302 0.3946 0.0876 1
Cl1 Cl 0.1292 0.3624 0.7634 1
Cl2 Cl 0.1727 0.3854 0.3910 1
Cl3 Cl 0.1939 0.4019 0.0710 1
Cl4 Cl 0.1983 0.3980 0.1670 1
```

=====

Entry 6:
Simulated powder diffraction line list
Compound: TlN2Cl
Radiation: Cu Kα
Structure: a crystal structure in Alexandria, relaxed with PBE
Lines closer than 0.1° are merged.

Peak list (10 most intense, 15° ≤ 2θ ≤ 90°, sorted by position)
h k l, 2θ/deg, I (rel.)
0 1 1, 15.47, 97
1 0 0, 22.30, 52
0 2 0, 22.93, 34
0 1 2, 23.88, 94
-1 1 2, 29.25, 100
1 -2 0, 32.20, 89
1 -1 2, 36.23, 35
1 0 3, 43.32, 26
-1 3 2, 44.40, 29
1 -2 3, 49.56, 31

Atomic structure:
```
data_TlN2Cl
_space_group_name_H-M_alt 'P -1'
_space_group_IT_number 2
_cell_length_a 4.102
_cell_length_b 7.758
_cell_length_c 8.737
_cell_angle_alpha 90.02
_cell_angle_beta 103.51
_cell_angle_gamma 90.04
loop_
_space_group_symop_operation_xyz
'x,y,z'
'-x,-y,-z'
loop_
_atom_site_label
_atom_site_type_symbol
_atom_site_fract_x
_atom_site_fract_y
_atom_site_fract_z
_atom_site_occupancy
Tl1 Tl 0.070 0.250 0.141 1
N1 N 0.195 0.679 0.393 1
N2 N 0.198 0.822 0.393 1
Cl1 Cl 0.500 0.000 0.000 1
Cl2 Cl 0.500 0.500 0.000 1
```